This entry pairs a crystal structure of Li5CuP2O8 with its simulated powder XRD pattern. Radiation: a wavelength of 1.5418 Å. Structure: a DFT-relaxed cell (PBE, the Materials Project).
Peak positions follow from Bragg's law for the DFT cell and can differ from measured ones.

Largest 10 diffraction maxima, by intensity, 2θ from 10° to 80°:
2θ (°), I_rel
33.4, 1000
22.9, 601
16.8, 565
23.7, 549
21.9, 481
36.1, 478
38.1, 467
59.8, 293
17.8, 271
16.5, 249

Cell and atoms:
Cell lengths 5.356, 6.202, 9.955 Å; angles 90.00, 90.17, 90.00 degrees
Positions (direct):
Li (0.000, 0.000, 0.000)
Li (0.000, 0.000, 0.500)
Li (0.310, 0.499, 0.251)
Li (0.310, 0.501, 0.751)
Li (0.481, 0.252, 0.500)
Li (0.481, 0.748, 0.000)
Li (0.483, 0.253, 0.999)
Li (0.483, 0.747, 0.499)
Li (0.828, 0.248, 0.750)
Li (0.828, 0.752, 0.250)
Cu (0.820, 0.242, 0.253)
Cu (0.820, 0.758, 0.753)
P (0.330, 0.004, 0.754)
P (0.330, 0.996, 0.254)
P (0.984, 0.499, 0.504)
P (0.984, 0.501, 0.004)
O (0.056, 0.015, 0.701)
O (0.056, 0.985, 0.201)
O (0.258, 0.498, 0.452)
O (0.258, 0.502, 0.952)
O (0.335, 0.000, 0.410)
O (0.335, 0.000, 0.910)
O (0.452, 0.207, 0.198)
O (0.452, 0.793, 0.698)
O (0.473, 0.207, 0.702)
O (0.473, 0.793, 0.202)
O (0.841, 0.290, 0.459)
O (0.841, 0.710, 0.959)
O (0.844, 0.297, 0.952)
O (0.844, 0.703, 0.452)
O (0.986, 0.495, 0.661)
O (0.986, 0.505, 0.161)


This entry pairs a crystal structure of Ca2N with its simulated powder XRD pattern. Radiation: a wavelength of 1.5418 Å. Structure: a DFT-relaxed cell (PBE, the Materials Project).
Peak positions follow from Bragg's law for the DFT cell and can differ from measured ones.

Largest 10 diffraction maxima, by intensity, 2θ from 10° to 80°:
2θ (°), I_rel
34.2, 1000
30.1, 837
13.8, 804
50.6, 343
43.9, 311
27.8, 195
47.7, 184
60.7, 168
62.5, 138
58.7, 133

Cell and atoms:
Cell lengths 6.742, 6.742, 6.742 Å; angles 31.05, 31.05, 31.05 degrees
Positions (direct):
Ca (0.232, 0.232, 0.232)
Ca (0.768, 0.768, 0.768)
N (0.500, 0.500, 0.500)


This entry pairs a crystal structure of LiTa2CuO6 with its simulated powder XRD pattern. Radiation: a wavelength of 1.5418 Å. Structure: a DFT-relaxed cell (PBE, the Materials Project).
Peak positions follow from Bragg's law for the DFT cell and can differ from measured ones.

Largest 10 diffraction maxima, by intensity, 2θ from 10° to 80°:
2θ (°), I_rel
23.3, 1000
32.2, 846
34.3, 625
47.7, 354
60.1, 305
52.3, 285
61.4, 188
55.2, 182
56.0, 171
41.9, 152

Cell and atoms:
Cell lengths 5.589, 5.589, 5.589 Å; angles 55.79, 55.79, 55.79 degrees
Positions (direct):
Li (0.000, 0.000, 0.000)
Ta (0.215, 0.215, 0.215)
Ta (0.711, 0.711, 0.711)
Cu (0.474, 0.474, 0.474)
O (0.070, 0.443, 0.843)
O (0.331, 0.953, 0.582)
O (0.443, 0.843, 0.070)
O (0.582, 0.331, 0.953)
O (0.843, 0.070, 0.443)
O (0.953, 0.582, 0.331)


This entry pairs a crystal structure of NdSe2 with its simulated powder XRD pattern. Radiation: a wavelength of 1.5418 Å. Structure: a DFT-relaxed cell (PBE, the Materials Project).
Peak positions follow from Bragg's law for the DFT cell and can differ from measured ones.

Largest 10 diffraction maxima, by intensity, 2θ from 10° to 80°:
2θ (°), I_rel
36.8, 1000
31.8, 705
38.2, 464
30.0, 411
31.4, 357
42.8, 320
43.1, 251
23.5, 245
58.8, 226
23.6, 219

Cell and atoms:
Cell lengths 8.552, 4.200, 8.444 Å; angles 90.00, 90.20, 90.00 degrees
Positions (direct):
Nd (0.225, 0.223, 0.373)
Nd (0.225, 0.277, 0.873)
Nd (0.775, 0.723, 0.127)
Nd (0.775, 0.777, 0.627)
Se (0.132, 0.743, 0.125)
Se (0.132, 0.757, 0.625)
Se (0.498, 0.685, 0.381)
Se (0.498, 0.815, 0.881)
Se (0.502, 0.185, 0.119)
Se (0.502, 0.315, 0.619)
Se (0.868, 0.243, 0.375)
Se (0.868, 0.257, 0.875)


This entry pairs a crystal structure of AuF5 with its simulated powder XRD pattern. Radiation: a wavelength of 1.5418 Å. Structure: a DFT-relaxed cell (PBE, the Materials Project).
Peak positions follow from Bragg's law for the DFT cell and can differ from measured ones.

Largest 10 diffraction maxima, by intensity, 2θ from 10° to 80°:
2θ (°), I_rel
19.2, 1000
20.7, 685
19.9, 583
23.1, 440
34.5, 283
30.7, 279
40.6, 230
18.6, 203
44.4, 197
44.1, 195

Cell and atoms:
Cell lengths 9.716, 15.391, 5.025 Å; angles 90.00, 90.00, 90.00 degrees
Positions (direct):
Au (0.129, 0.146, 0.071)
Au (0.129, 0.354, 0.071)
Au (0.371, 0.646, 0.571)
Au (0.371, 0.854, 0.571)
Au (0.629, 0.146, 0.429)
Au (0.629, 0.354, 0.429)
Au (0.871, 0.646, 0.929)
Au (0.871, 0.854, 0.929)
F (0.001, 0.146, 0.774)
F (0.001, 0.354, 0.774)
F (0.023, 0.250, 0.235)
F (0.027, 0.056, 0.246)
F (0.027, 0.444, 0.246)
F (0.230, 0.250, 0.900)
F (0.236, 0.057, 0.907)
F (0.236, 0.443, 0.907)
F (0.243, 0.650, 0.867)
F (0.243, 0.850, 0.867)
F (0.257, 0.150, 0.367)
F (0.257, 0.350, 0.367)
F (0.264, 0.557, 0.407)
F (0.264, 0.943, 0.407)
F (0.270, 0.750, 0.400)
F (0.473, 0.556, 0.746)
F (0.473, 0.944, 0.746)
F (0.477, 0.750, 0.735)
F (0.499, 0.646, 0.274)
F (0.499, 0.854, 0.274)
F (0.501, 0.146, 0.726)
F (0.501, 0.354, 0.726)
F (0.523, 0.250, 0.265)
F (0.527, 0.056, 0.254)
F (0.527, 0.444, 0.254)
F (0.730, 0.250, 0.600)
F (0.736, 0.057, 0.593)
F (0.736, 0.443, 0.593)
F (0.743, 0.650, 0.633)
F (0.743, 0.850, 0.633)
F (0.757, 0.150, 0.133)
F (0.757, 0.350, 0.133)
F (0.764, 0.557, 0.093)
F (0.764, 0.943, 0.093)
F (0.770, 0.750, 0.100)
F (0.973, 0.556, 0.754)
F (0.973, 0.944, 0.754)
F (0.977, 0.750, 0.765)
F (0.999, 0.646, 0.226)
F (0.999, 0.854, 0.226)


This entry pairs a crystal structure of TaAsO4 with its simulated powder XRD pattern. Radiation: a wavelength of 1.5418 Å. Structure: a DFT-relaxed cell (PBE, the Materials Project).
Peak positions follow from Bragg's law for the DFT cell and can differ from measured ones.

Largest 10 diffraction maxima, by intensity, 2θ from 10° to 80°:
2θ (°), I_rel
28.3, 1000
25.0, 786
14.9, 436
30.2, 384
33.0, 265
33.3, 261
49.5, 260
54.4, 209
52.4, 205
62.2, 194

Cell and atoms:
Cell lengths 5.518, 11.854, 5.063 Å; angles 90.00, 90.00, 90.00 degrees
Positions (direct):
Ta (0.121, 0.250, 0.250)
Ta (0.379, 0.750, 0.250)
Ta (0.621, 0.250, 0.750)
Ta (0.879, 0.750, 0.750)
As (0.250, 0.000, 0.651)
As (0.250, 0.500, 0.849)
As (0.750, 0.000, 0.349)
As (0.750, 0.500, 0.151)
O (0.084, 0.090, 0.413)
O (0.084, 0.410, 0.087)
O (0.145, 0.700, 0.504)
O (0.145, 0.800, 0.996)
O (0.355, 0.200, 0.996)
O (0.355, 0.300, 0.504)
O (0.416, 0.590, 0.087)
O (0.416, 0.910, 0.413)
O (0.584, 0.090, 0.587)
O (0.584, 0.410, 0.913)
O (0.645, 0.700, 0.496)
O (0.645, 0.800, 0.004)
O (0.855, 0.200, 0.004)
O (0.855, 0.300, 0.496)
O (0.916, 0.590, 0.913)
O (0.916, 0.910, 0.587)